[1]
The following is a theoretical powder XRD pattern of Ce2Au. It was derived from a cell relaxed with PBE, using CuKα.

```
data_Ce2Au
_symmetry_space_group_name_H-M 'P 1'
_symmetry_Int_Tables_number 1
_cell_length_a 7.282
_cell_length_b 5.002
_cell_length_c 9.236
_cell_angle_alpha 90.00
_cell_angle_beta 90.00
_cell_angle_gamma 90.00
loop_
_symmetry_equiv_pos_as_xyz
'x,y,z'
loop_
_atom_site_label
_atom_site_fract_x
_atom_site_fract_y
_atom_site_fract_z
_atom_site_occupancy
Ce1 0.013 0.250 0.182 1
Ce2 0.159 0.250 0.571 1
Ce3 0.341 0.750 0.071 1
Ce4 0.487 0.750 0.682 1
Ce5 0.513 0.250 0.318 1
Ce6 0.659 0.250 0.929 1
Ce7 0.841 0.750 0.429 1
Ce8 0.987 0.750 0.818 1
Au1 0.245 0.250 0.890 1
Au2 0.255 0.750 0.390 1
Au3 0.745 0.250 0.610 1
Au4 0.755 0.750 0.110 1
```

Principal peaks in the range 10° ≤ 2θ ≤ 90°, in order of rising 2θ:
- d = 3.076 Å, 2θ 29.03, intensity 41
- d = 2.944 Å, 2θ 30.36, intensity 20
- d = 2.859 Å, 2θ 31.28, intensity 18
- d = 2.805 Å, 2θ 31.91, intensity 100
- d = 2.622 Å, 2θ 34.20, intensity 66
- d = 2.501 Å, 2θ 35.91, intensity 54
- d = 2.467 Å, 2θ 36.42, intensity 17
- d = 2.349 Å, 2θ 38.32, intensity 19
- d = 2.149 Å, 2θ 42.05, intensity 17
- d = 2.127 Å, 2θ 42.51, intensity 36
- d = 1.587 Å, 2θ 58.14, intensity 16
- d = 1.496 Å, 2θ 62.04, intensity 18

=====

[2]
The following is a theoretical powder XRD pattern of CeAu. It was derived from a cell relaxed with PBE, using CuKα.

```
data_CeAu
_symmetry_space_group_name_H-M 'P 1'
_symmetry_Int_Tables_number 1
_cell_length_a 3.884
_cell_length_b 11.457
_cell_length_c 4.721
_cell_angle_alpha 90.00
_cell_angle_beta 90.00
_cell_angle_gamma 90.00
loop_
_symmetry_equiv_pos_as_xyz
'x,y,z'
loop_
_atom_site_label
_atom_site_fract_x
_atom_site_fract_y
_atom_site_fract_z
_atom_site_occupancy
Ce1 0.000 0.140 0.250 1
Ce2 0.000 0.860 0.750 1
Ce3 0.500 0.360 0.750 1
Ce4 0.500 0.640 0.250 1
Au1 0.000 0.415 0.250 1
Au2 0.000 0.585 0.750 1
Au3 0.500 0.085 0.750 1
Au4 0.500 0.915 0.250 1
```

Principal peaks in the range 10° ≤ 2θ ≤ 90°, in order of rising 2θ:
- d = 5.728 Å, 2θ 15.47, intensity 11
- d = 2.902 Å, 2θ 30.82, intensity 77
- d = 2.864 Å, 2θ 31.23, intensity 24
- d = 2.449 Å, 2θ 36.70, intensity 27
- d = 2.359 Å, 2θ 38.14, intensity 100
- d = 1.942 Å, 2θ 46.78, intensity 16
- d = 1.822 Å, 2θ 50.08, intensity 13
- d = 1.522 Å, 2θ 60.89, intensity 13
- d = 1.508 Å, 2θ 61.48, intensity 12
- d = 1.500 Å, 2θ 61.87, intensity 14
- d = 1.362 Å, 2θ 68.92, intensity 14
- d = 1.271 Å, 2θ 74.68, intensity 13

=====

[3]
The following is a theoretical powder XRD pattern of K2CeAuCl6. It was derived from a cell relaxed with PBE, using CuKα.

```
data_K2CeAuCl6
_symmetry_space_group_name_H-M 'P 1'
_symmetry_Int_Tables_number 1
_cell_length_a 7.733
_cell_length_b 7.733
_cell_length_c 7.733
_cell_angle_alpha 60.00
_cell_angle_beta 60.00
_cell_angle_gamma 60.00
loop_
_symmetry_equiv_pos_as_xyz
'x,y,z'
loop_
_atom_site_label
_atom_site_fract_x
_atom_site_fract_y
_atom_site_fract_z
_atom_site_occupancy
K1 0.250 0.250 0.250 1
K2 0.750 0.750 0.750 1
Ce1 0.000 0.000 0.000 1
Au1 0.500 0.500 0.500 1
Cl1 0.250 0.250 0.750 1
Cl2 0.250 0.750 0.250 1
Cl3 0.250 0.750 0.750 1
Cl4 0.750 0.250 0.250 1
Cl5 0.750 0.250 0.750 1
Cl6 0.750 0.750 0.250 1
```

Principal peaks in the range 10° ≤ 2θ ≤ 90°, in order of rising 2θ:
- d = 5.468 Å, 2θ 16.21, intensity 100
- d = 3.866 Å, 2θ 23.00, intensity 98
- d = 2.734 Å, 2θ 32.76, intensity 69
- d = 2.445 Å, 2θ 36.75, intensity 54
- d = 2.232 Å, 2θ 40.41, intensity 47
- d = 1.933 Å, 2θ 47.01, intensity 47
- d = 1.823 Å, 2θ 50.05, intensity 28
- d = 1.729 Å, 2θ 52.96, intensity 21
- d = 1.578 Å, 2θ 58.47, intensity 16
- d = 1.461 Å, 2θ 63.68, intensity 24
- d = 1.326 Å, 2θ 71.09, intensity 16
- d = 1.223 Å, 2θ 78.18, intensity 20

=====

[4]
The following is a theoretical powder XRD pattern of Rb2CeAuCl6. It was derived from a cell relaxed with PBE, using CuKα.

```
data_Rb2CeAuCl6
_symmetry_space_group_name_H-M 'P 1'
_symmetry_Int_Tables_number 1
_cell_length_a 7.759
_cell_length_b 7.759
_cell_length_c 7.759
_cell_angle_alpha 60.00
_cell_angle_beta 60.00
_cell_angle_gamma 60.00
loop_
_symmetry_equiv_pos_as_xyz
'x,y,z'
loop_
_atom_site_label
_atom_site_fract_x
_atom_site_fract_y
_atom_site_fract_z
_atom_site_occupancy
Rb1 0.250 0.250 0.250 1
Rb2 0.750 0.750 0.750 1
Ce1 0.000 0.000 0.000 1
Au1 0.500 0.500 0.500 1
Cl1 0.250 0.250 0.750 1
Cl2 0.250 0.750 0.250 1
Cl3 0.250 0.750 0.750 1
Cl4 0.750 0.250 0.250 1
Cl5 0.750 0.250 0.750 1
Cl6 0.750 0.750 0.250 1
```

Principal peaks in the range 10° ≤ 2θ ≤ 90°, in order of rising 2θ:
- d = 5.486 Å, 2θ 16.16, intensity 34
- d = 3.879 Å, 2θ 22.92, intensity 100
- d = 2.743 Å, 2θ 32.64, intensity 57
- d = 2.454 Å, 2θ 36.63, intensity 18
- d = 2.240 Å, 2θ 40.27, intensity 48
- d = 1.940 Å, 2θ 46.84, intensity 40
- d = 1.735 Å, 2θ 52.76, intensity 22
- d = 1.584 Å, 2θ 58.26, intensity 14
- d = 1.466 Å, 2θ 63.44, intensity 26
- d = 1.293 Å, 2θ 73.19, intensity 13
- d = 1.227 Å, 2θ 77.87, intensity 17
- d = 1.120 Å, 2θ 87.01, intensity 14

=====

[5]
The following is a theoretical powder XRD pattern of CeGa3Au. It was derived from a cell relaxed with PBE, using CuKα.

```
data_CeGa3Au
_symmetry_space_group_name_H-M 'P 1'
_symmetry_Int_Tables_number 1
_cell_length_a 4.390
_cell_length_b 4.390
_cell_length_c 10.580
_cell_angle_alpha 90.00
_cell_angle_beta 90.00
_cell_angle_gamma 90.00
loop_
_symmetry_equiv_pos_as_xyz
'x,y,z'
loop_
_atom_site_label
_atom_site_fract_x
_atom_site_fract_y
_atom_site_fract_z
_atom_site_occupancy
Ce1 0.000 0.000 0.000 1
Ce2 0.500 0.500 0.500 1
Ga1 0.000 0.000 0.606 1
Ga2 0.000 0.500 0.242 1
Ga3 0.000 0.500 0.742 1
Ga4 0.500 0.000 0.242 1
Ga5 0.500 0.000 0.742 1
Ga6 0.500 0.500 0.106 1
Au1 0.000 0.000 0.370 1
Au2 0.500 0.500 0.870 1
```

Principal peaks in the range 10° ≤ 2θ ≤ 90°, in order of rising 2θ:
- d = 4.055 Å, 2θ 21.92, intensity 31
- d = 3.104 Å, 2θ 28.76, intensity 45
- d = 2.749 Å, 2θ 32.57, intensity 100
- d = 2.677 Å, 2θ 33.47, intensity 92
- d = 2.195 Å, 2θ 41.13, intensity 77
- d = 2.013 Å, 2θ 45.03, intensity 30
- d = 1.906 Å, 2θ 47.71, intensity 42
- d = 1.715 Å, 2θ 53.42, intensity 50
- d = 1.552 Å, 2θ 59.57, intensity 26
- d = 1.439 Å, 2θ 64.78, intensity 34
- d = 1.343 Å, 2θ 70.08, intensity 21
- d = 1.133 Å, 2θ 85.78, intensity 17

=====

[6]
The following is a theoretical powder XRD pattern of Ce2Ga5Au3. It was derived from a cell relaxed with PBE, using CuKα.

```
data_Ce2Ga5Au3
_symmetry_space_group_name_H-M 'P 1'
_symmetry_Int_Tables_number 1
_cell_length_a 4.351
_cell_length_b 4.351
_cell_length_c 10.992
_cell_angle_alpha 90.00
_cell_angle_beta 90.00
_cell_angle_gamma 90.00
loop_
_symmetry_equiv_pos_as_xyz
'x,y,z'
loop_
_atom_site_label
_atom_site_fract_x
_atom_site_fract_y
_atom_site_fract_z
_atom_site_occupancy
Ce1 0.000 0.500 0.248 1
Ce2 0.500 0.000 0.752 1
Ga1 0.000 0.000 0.500 1
Ga2 0.000 0.500 0.629 1
Ga3 0.500 0.000 0.371 1
Ga4 0.500 0.500 0.000 1
Ga5 0.500 0.500 0.500 1
Au1 0.000 0.000 0.000 1
Au2 0.000 0.500 0.853 1
Au3 0.500 0.000 0.147 1
```

Principal peaks in the range 10° ≤ 2θ ≤ 90°, in order of rising 2θ:
- d = 3.411 Å, 2θ 26.12, intensity 18
- d = 3.076 Å, 2θ 29.02, intensity 18
- d = 2.803 Å, 2θ 31.93, intensity 48
- d = 2.684 Å, 2θ 33.38, intensity 100
- d = 2.356 Å, 2θ 38.20, intensity 16
- d = 2.175 Å, 2θ 41.51, intensity 64
- d = 2.049 Å, 2θ 44.19, intensity 27
- d = 1.962 Å, 2θ 46.27, intensity 39
- d = 1.718 Å, 2θ 53.31, intensity 22
- d = 1.538 Å, 2θ 60.16, intensity 21
- d = 1.457 Å, 2θ 63.89, intensity 30
- d = 1.335 Å, 2θ 70.57, intensity 24

=====

[7]
The following is a theoretical powder XRD pattern of Ce2Ge6Au. It was derived from a cell relaxed with PBE, using CuKα.

```
data_Ce2Ge6Au
_symmetry_space_group_name_H-M 'P 1'
_symmetry_Int_Tables_number 1
_cell_length_a 4.228
_cell_length_b 11.365
_cell_length_c 11.365
_cell_angle_alpha 21.21
_cell_angle_beta 90.00
_cell_angle_gamma 90.00
loop_
_symmetry_equiv_pos_as_xyz
'x,y,z'
loop_
_atom_site_label
_atom_site_fract_x
_atom_site_fract_y
_atom_site_fract_z
_atom_site_occupancy
Ce1 0.000 0.000 0.000 1
Ce2 0.000 0.338 0.338 1
Ge1 0.000 0.625 0.625 1
Ge2 0.000 0.737 0.737 1
Ge3 0.500 0.125 0.125 1
Ge4 0.500 0.238 0.238 1
Ge5 0.500 0.444 0.444 1
Ge6 0.500 0.880 0.880 1
Au1 0.500 0.557 0.557 1
```

Principal peaks in the range 10° ≤ 2θ ≤ 90°, in order of rising 2θ:
- d = 5.586 Å, 2θ 15.87, intensity 10
- d = 3.954 Å, 2θ 22.48, intensity 10
- d = 2.794 Å, 2θ 32.03, intensity 30
- d = 2.762 Å, 2θ 32.42, intensity 100
- d = 2.538 Å, 2θ 35.37, intensity 10
- d = 2.176 Å, 2θ 41.50, intensity 22
- d = 2.135 Å, 2θ 42.34, intensity 22
- d = 2.114 Å, 2θ 42.77, intensity 25
- d = 2.092 Å, 2θ 43.25, intensity 24
- d = 1.675 Å, 2θ 54.80, intensity 15
- d = 1.502 Å, 2θ 61.76, intensity 14
- d = 1.487 Å, 2θ 62.46, intensity 16

=====

[8]
The following is a theoretical powder XRD pattern of Ce2InAu2. It was derived from a cell relaxed with PBE, using CuKα.

```
data_Ce2InAu2
_symmetry_space_group_name_H-M 'P 1'
_symmetry_Int_Tables_number 1
_cell_length_a 8.092
_cell_length_b 8.092
_cell_length_c 3.888
_cell_angle_alpha 90.00
_cell_angle_beta 90.00
_cell_angle_gamma 90.00
loop_
_symmetry_equiv_pos_as_xyz
'x,y,z'
loop_
_atom_site_label
_atom_site_fract_x
_atom_site_fract_y
_atom_site_fract_z
_atom_site_occupancy
Ce1 0.175 0.325 0.000 1
Ce2 0.325 0.825 0.000 1
Ce3 0.675 0.175 0.000 1
Ce4 0.825 0.675 0.000 1
In1 0.000 0.000 0.500 1
In2 0.500 0.500 0.500 1
Au1 0.127 0.627 0.500 1
Au2 0.373 0.127 0.500 1
Au3 0.627 0.873 0.500 1
Au4 0.873 0.373 0.500 1
```

Principal peaks in the range 10° ≤ 2θ ≤ 90°, in order of rising 2θ:
- d = 5.722 Å, 2θ 15.49, intensity 12
- d = 2.803 Å, 2θ 31.92, intensity 18
- d = 2.649 Å, 2θ 33.84, intensity 100
- d = 2.559 Å, 2θ 35.07, intensity 38
- d = 2.244 Å, 2θ 40.18, intensity 12
- d = 2.137 Å, 2θ 42.28, intensity 9
- d = 1.944 Å, 2θ 46.73, intensity 23
- d = 1.752 Å, 2θ 52.21, intensity 8
- d = 1.548 Å, 2θ 59.74, intensity 16
- d = 1.469 Å, 2θ 63.29, intensity 17
- d = 1.402 Å, 2θ 66.74, intensity 17
- d = 1.220 Å, 2θ 78.38, intensity 9